1.
The following is a calculated PXRD pattern of InHg4BiPb. It was derived from DFT lattice parameters and positions (GGA-PBE), using copper Kα.
Lines closer than 0.1° are merged.

Peak list (8 most intense, 10 to 90 degrees two-theta, in order of falling intensity)
2theta  d (Å)  intensity
29.78  3.000  100
33.29  2.691  80
34.75  2.581  65
35.22  2.548  54
29.49  3.029  50
43.02  2.103  36
30.14  2.965  32
64.34  1.448  25

Cell and atoms:
Cell: 8.7311 8.7311 9.2074 Å, 121.17 121.17 44.50°
Fractional coordinates of all 14 atoms:
In 0.1182 0.1182 0.0962
In 0.8818 0.8818 0.9038
Hg 0.0690 0.5545 0.2149
Hg 0.2439 0.2439 0.5158
Hg 0.3879 0.3879 0.9382
Hg 0.4455 0.9310 0.7851
Hg 0.5545 0.0690 0.2149
Hg 0.6121 0.6121 0.0618
Hg 0.7561 0.7561 0.4842
Hg 0.9310 0.4455 0.7851
Bi 0.0096 0.0096 0.3247
Bi 0.9904 0.9904 0.6753
Pb 0.4689 0.4689 0.6527
Pb 0.5311 0.5311 0.3473

=====

2.
The following is a calculated PXRD pattern of InHgBiPb. It was derived from DFT lattice parameters and positions (GGA-PBE), using copper Kα.
Lines closer than 0.1° are merged.

Peak list (8 most intense, 10 to 90 degrees two-theta, in order of falling intensity)
2theta  d (Å)  intensity
34.20  2.622  100
61.23  1.514  30
24.49  3.634  21
28.07  3.179  20
49.15  1.854  17
82.26  1.172  12
52.69  1.737  11
70.70  1.332  9

Cell and atoms:
Cell: 3.7059 3.7059 18.5643 Å, 90.00 90.00 90.00°
Fractional coordinates of all 8 atoms:
In 0.0000 0.0000 0.0000
In 0.5000 0.5000 0.5000
Hg 0.0000 0.0000 0.3996
Hg 0.5000 0.5000 0.8996
Bi 0.0000 0.0000 0.6166
Bi 0.5000 0.5000 0.1166
Pb 0.0000 0.0000 0.2325
Pb 0.5000 0.5000 0.7325

=====

3.
The following is a calculated PXRD pattern of In2Hg2BiPb2. It was derived from DFT lattice parameters and positions (GGA-PBE), using copper Kα.
Lines closer than 0.1° are merged.

Peak list (8 most intense, 10 to 90 degrees two-theta, in order of falling intensity)
2theta  d (Å)  intensity
34.26  2.617  100
31.12  2.874  76
30.99  2.886  68
24.82  3.587  64
34.82  2.577  44
39.39  2.288  38
41.48  2.177  34
55.23  1.663  26

Cell and atoms:
Cell: 11.8553 4.3541 8.9779 Å, 90.00 102.94 90.00°
Fractional coordinates of all 14 atoms:
In 0.0571 0.0000 0.2600
In 0.4429 0.5000 0.7400
In 0.5571 0.5000 0.2600
In 0.9429 0.0000 0.7400
Hg 0.1610 0.0000 0.9850
Hg 0.3390 0.5000 0.0150
Hg 0.6610 0.5000 0.9850
Hg 0.8390 0.0000 0.0150
Bi 0.0000 0.5000 0.5000
Bi 0.5000 0.0000 0.5000
Pb 0.2209 0.0000 0.6431
Pb 0.2791 0.5000 0.3569
Pb 0.7209 0.5000 0.6431
Pb 0.7791 0.0000 0.3569

=====

4.
The following is a calculated PXRD pattern of In3Hg3BiPb2. It was derived from DFT lattice parameters and positions (GGA-PBE), using copper Kα.
Lines closer than 0.1° are merged.

Peak list (8 most intense, 10 to 90 degrees two-theta, in order of falling intensity)
2theta  d (Å)  intensity
32.71  2.738  100
32.93  2.720  66
65.78  1.420  27
34.74  2.582  24
47.10  1.930  22
39.75  2.268  21
58.52  1.577  21
56.12  1.639  17

Cell and atoms:
Cell: 9.4846 9.4846 3.3205 Å, 90.00 90.00 120.00°
Fractional coordinates of all 9 atoms:
In 0.0000 0.6919 0.0000
In 0.3081 0.3081 0.0000
In 0.6919 0.0000 0.0000
Hg 0.0000 0.3550 0.5000
Hg 0.3550 0.0000 0.5000
Hg 0.6450 0.6450 0.5000
Bi 0.0000 0.0000 0.5000
Pb 0.3333 0.6667 0.0000
Pb 0.6667 0.3333 0.0000